This entry pairs a crystal structure of FeP2O7 with its calculated X-ray diffraction stick pattern. Radiation: Cu Kα. Structure: a crystal structure in the Materials Project, relaxed with PBE+U.
No peak broadening, texture or thermal motion is included.

Largest 10 diffraction maxima, in order of rising 2θ, 5 to 70 degrees two-theta:
(hkl)  two_theta  I/Imax
0 1 1  14.75  354
1 1 -1  17.21  446
0 2 0  21.26  181
1 1 1  22.60  226
1 2 -1  25.28  255
1 0 2  28.80  668
1 2 -2  29.29  1000
2 3 -2  42.62  143
3 3 -4  57.77  163
2 3 -6  69.35  137

Structural model:
```
FeP2O7
1.0
7.0668 0.0000 0.0000
0.0000 8.3602 0.0000
-3.5448 0.0000 8.6289
Fe P O
4 8 28
Direct
0.2345 0.0812 0.3626
0.2345 0.4188 0.8626
0.7655 0.5812 0.1374
0.7655 0.9188 0.6374
0.0350 0.7443 0.4648
0.0350 0.7557 0.9648
0.4246 0.7221 0.7462
0.4246 0.7779 0.2462
0.5754 0.2221 0.7538
0.5754 0.2779 0.2538
0.9650 0.2443 0.0352
0.9650 0.2557 0.5352
0.0223 0.1126 0.1585
0.0223 0.3874 0.6585
0.1032 0.6007 0.9143
0.1032 0.8993 0.4143
0.1327 0.2338 0.4715
0.1327 0.2662 0.9715
0.2279 0.6654 0.6019
0.2279 0.8346 0.1019
0.3843 0.6197 0.3145
0.3843 0.8803 0.8145
0.4044 0.2475 0.3121
0.4044 0.2525 0.8121
0.4610 0.5827 0.8617
0.4610 0.9173 0.3617
0.5390 0.0827 0.6383
0.5390 0.4173 0.1383
0.5956 0.7475 0.1879
0.5956 0.7525 0.6879
0.6157 0.1197 0.1855
0.6157 0.3803 0.6855
0.7721 0.1654 0.8981
0.7721 0.3346 0.3981
0.8673 0.7338 0.0285
0.8673 0.7662 0.5285
0.8968 0.1007 0.5857
0.8968 0.3993 0.0857
0.9777 0.6126 0.3415
0.9777 0.8874 0.8415
```

=====

This entry pairs a crystal structure of FePO6 with its calculated X-ray diffraction stick pattern. Radiation: Cu Kα. Structure: a crystal structure in the Materials Project, relaxed with PBE+U.
No peak broadening, texture or thermal motion is included.

Largest 10 diffraction maxima, in order of rising 2θ, 5 to 70 degrees two-theta:
(hkl)  two_theta  I/Imax
0 1 1  13.68  222
0 2 0  17.81  313
1 1 -1  18.55  1000
0 0 2  20.87  907
1 1 0  21.27  291
1 2 -1  24.20  443
1 2 -2  26.42  211
1 3 -1  31.54  407
0 1 3  32.83  250
1 3 1  38.12  213

Structural model:
```
FePO6
1.0
5.4531 0.0000 0.0000
0.0000 9.9627 0.0000
-5.4172 0.0000 8.5112
Fe P O
4 4 24
Direct
0.2070 0.1760 0.2856
0.2070 0.3240 0.7856
0.7930 0.6760 0.2144
0.7930 0.8240 0.7144
0.4084 0.6505 0.8134
0.4084 0.8495 0.3134
0.5916 0.1505 0.6866
0.5916 0.3495 0.1866
0.0188 0.5589 0.1478
0.0188 0.9411 0.6478
0.0393 0.0762 0.0659
0.0393 0.4238 0.5659
0.1056 0.6963 0.7722
0.1056 0.8037 0.2722
0.3662 0.1927 0.5144
0.3662 0.3073 0.0144
0.4151 0.0059 0.3044
0.4151 0.4941 0.8044
0.4963 0.7088 0.7051
0.4963 0.7912 0.2051
0.5037 0.2088 0.7949
0.5037 0.2912 0.2949
0.5849 0.5059 0.1956
0.5849 0.9941 0.6956
0.6338 0.6927 0.9856
0.6338 0.8073 0.4856
0.8944 0.1963 0.7278
0.8944 0.3037 0.2278
0.9607 0.5762 0.4341
0.9607 0.9238 0.9341
0.9812 0.0589 0.3522
0.9812 0.4411 0.8522
```

=====

This entry pairs a crystal structure of Fe3P2O8 with its calculated X-ray diffraction stick pattern. Radiation: Cu Kα. Structure: a crystal structure in the Materials Project, relaxed with PBE+U.
No peak broadening, texture or thermal motion is included.

Largest 10 diffraction maxima, in order of rising 2θ, 5 to 70 degrees two-theta:
(hkl)  two_theta  I/Imax
1 0 0  14.45  392
1 0 2  22.28  550
1 1 1  24.87  1000
2 0 0  29.14  290
0 1 3  31.34  673
1 1 -3  34.60  726
2 1 -1  35.65  688
2 2 -2  50.89  231
2 2 2  51.03  374
4 0 0  60.42  233

Structural model:
```
Fe3P2O8
1.0
6.1289 0.0000 0.0000
0.0000 4.8630 0.0000
-0.0657 0.0000 10.5737
Fe P O
6 4 16
Direct
0.0000 0.0000 0.0000
0.0000 0.5000 0.5000
0.2639 0.0152 0.7174
0.2639 0.4848 0.2174
0.7361 0.5152 0.7826
0.7361 0.9848 0.2826
0.2375 0.5668 0.8991
0.2375 0.9332 0.3991
0.7625 0.0668 0.6009
0.7625 0.4332 0.1009
0.0300 0.7139 0.8378
0.0300 0.7861 0.3378
0.2195 0.2502 0.3952
0.2195 0.2498 0.8952
0.2453 0.6805 0.0361
0.2453 0.8195 0.5361
0.4283 0.6738 0.8171
0.4283 0.8262 0.3171
0.5717 0.1738 0.6829
0.5717 0.3262 0.1829
0.7547 0.1805 0.4639
0.7547 0.3195 0.9639
0.7805 0.7502 0.1048
0.7805 0.7498 0.6048
0.9700 0.2139 0.6622
0.9700 0.2861 0.1622
```

=====

This entry pairs a crystal structure of Fe3P4O14 with its calculated X-ray diffraction stick pattern. Radiation: Cu Kα. Structure: a crystal structure in the Materials Project, relaxed with PBE+U.
No peak broadening, texture or thermal motion is included.

Largest 10 diffraction maxima, in order of rising 2θ, 5 to 70 degrees two-theta:
(hkl)  two_theta  I/Imax
0 0 1  12.30  173
0 1 0  13.84  679
1 1 0  18.38  187
0 1 -1  20.07  639
0 1 2  26.30  549
1 -1 1  27.92  1000
1 2 2  32.35  416
2 1 0  32.85  472
1 2 -1  33.52  266
2 0 2  39.50  175

Structural model:
```
Fe3P4O14
1.0
5.6128 0.0000 0.0000
2.3133 6.4899 0.0000
1.5751 1.2281 7.1939
Fe P O
3 4 14
Direct
0.0000 0.0000 0.0000
0.2305 0.4898 0.3306
0.7695 0.5102 0.6694
0.2075 0.7120 0.6660
0.3811 0.2965 0.9394
0.6189 0.7035 0.0606
0.7925 0.2880 0.3340
0.0484 0.6550 0.5470
0.0702 0.9067 0.7519
0.2351 0.5282 0.8448
0.2530 0.1547 0.8911
0.3289 0.7431 0.1412
0.3332 0.3060 0.1441
0.4692 0.6977 0.5516
0.5308 0.3023 0.4484
0.6668 0.6940 0.8559
0.6711 0.2569 0.8588
0.7470 0.8453 0.1089
0.7649 0.4718 0.1552
0.9298 0.0933 0.2481
0.9516 0.3450 0.4530
```